The following is a theoretical X-ray powder pattern of Pr3Sm4Sb4. It was derived from a structure optimized by DFT (GGA-PBE), using Cu Kα (weighted mean of Kα1 and Kα2).
Kinematic intensities with the Lorentz-polarization factor, no thermal factor.

Principal peaks in the range 2θ from 10° to 80°, sorted by position:
d 6.595, 2θ = 13.43°, I 28
d 3.297, 2θ = 27.04°, I 65
d 2.949, 2θ = 30.31°, I 100
d 2.493, 2θ = 36.03°, I 31
d 2.198, 2θ = 41.06°, I 50
d 2.085, 2θ = 43.39°, I 27

Atomic structure:
```
data_Pr3Sm4Sb4
_symmetry_space_group_name_H-M 'I -4 3 m'
_symmetry_Int_Tables_number 217
_symmetry_space_group_name_Hall 'I -4 2 3'
_cell_length_a 9.3261
_cell_length_b 9.3261
_cell_length_c 9.3261
_cell_angle_alpha 90.00
_cell_angle_beta 90.00
_cell_angle_gamma 90.00
loop_
_atom_site_label
_atom_site_fract_x
_atom_site_fract_y
_atom_site_fract_z
Pr1 0.0000 0.0000 0.5000
Sm1 0.1382 0.1382 0.8618
Sb1 0.1825 0.1825 0.1825
```

The following is a theoretical X-ray powder pattern of CeTh3Bi6. It was derived from a structure optimized by DFT (GGA-PBE), using Cu Kα (weighted mean of Kα1 and Kα2).
Kinematic intensities with the Lorentz-polarization factor, no thermal factor.

Principal peaks in the range 2θ from 10° to 80°, sorted by position:
d 5.388, 2θ = 16.45°, I 44
d 2.821, 2θ = 31.72°, I 49
d 2.800, 2θ = 31.97°, I 100
d 2.694, 2θ = 33.26°, I 74
d 2.623, 2θ = 34.19°, I 35
d 1.655, 2θ = 55.51°, I 33

Atomic structure:
```
data_CeTh3Bi6
_symmetry_space_group_name_H-M 'C 1 2/m 1'
_symmetry_Int_Tables_number 12
_symmetry_space_group_name_Hall '-C 2y'
_cell_length_a 11.4600
_cell_length_b 6.6267
_cell_length_c 11.1624
_cell_angle_alpha 90.00
_cell_angle_beta 109.97
_cell_angle_gamma 90.00
loop_
_atom_site_label
_atom_site_fract_x
_atom_site_fract_y
_atom_site_fract_z
Ce1 0.0000 0.0000 0.0000
Th1 0.0000 0.5000 0.5000
Th2 0.1785 0.0000 0.5359
Bi1 0.0033 0.2454 0.2553
Bi2 0.2486 0.0000 0.2552
```